1.
The following is a calculated PXRD pattern of Ca3Ga8Pd3. It was derived from a DFT-relaxed cell (PBE, Alexandria), using Cu Ka.
No peak broadening, texture or thermal motion is included.

Top 10 peaks for 2θ from 5° to 70°, sorted by position:
| 2θ (°) | I_rel | index |
| --- | --- | --- |
| 17.93 | 290 | 0 2 0 |
| 34.93 | 1000 | 1 2 3 |
| 37.23 | 267 | 1 3 2 |
| 39.11 | 225 | 0 4 2 |
| 41.45 | 277 | 1 0 5 |
| 42.17 | 452 | 2 0 0 |
| 42.88 | 257 | 0 0 6 |
| 45.00 | 230 | 1 3 4 |
| 45.49 | 373 | 1 2 5 |
| 64.49 | 246 | 1 6 3 |

Crystal structure
abc: 4.2862 9.8922 12.6486
angles: 90.00 90.00 90.00
Space group Immm (No. 71)
Inequivalent atoms, fractional coordinates:
1 Ca 0.0000 0.0000 0.0000 [2 per cell]
2 Ca 0.0000 0.0000 0.3228 [4 per cell]
3 Ga 0.0000 0.2822 0.1230 [8 per cell]
4 Ga 0.0000 0.3651 0.3248 [8 per cell]
5 Pd 0.0000 0.2307 0.5000 [4 per cell]
6 Pd 0.0000 0.5000 0.0000 [2 per cell]

2.
The following is a calculated PXRD pattern of Tl2Sb. It was derived from a DFT-relaxed cell (PBE, Alexandria), using Cu Ka.
No peak broadening, texture or thermal motion is included.

Top 10 peaks for 2θ from 5° to 70°, sorted by position:
| 2θ (°) | I_rel | index |
| --- | --- | --- |
| 29.30 | 1000 | 0 1 3 |
| 33.14 | 727 | 1 0 3 |
| 33.60 | 746 | 1 1 0 |
| 41.15 | 166 | 0 0 6 |
| 42.67 | 194 | 0 2 0 |
| 53.37 | 149 | 2 0 0 |
| 54.14 | 301 | 1 1 6 |
| 55.07 | 347 | 1 2 3 |
| 62.07 | 243 | 2 1 3 |
| 69.95 | 134 | 0 3 3 |

Crystal structure
abc: 3.4318 4.2376 13.1609
angles: 90.00 90.00 90.00
Space group Immm (No. 71)
Inequivalent atoms, fractional coordinates:
1 Tl 0.0000 0.0000 0.1516 [4 per cell]
2 Sb 0.0000 0.0000 0.5000 [2 per cell]

3.
The following is a calculated PXRD pattern of DyTm3Cd. It was derived from a DFT-relaxed cell (PBE, Alexandria), using Cu Ka.
No peak broadening, texture or thermal motion is included.

Top 10 peaks for 2θ from 5° to 70°, sorted by position:
| 2θ (°) | I_rel | index |
| --- | --- | --- |
| 29.32 | 148 | 1 1 -2 |
| 30.96 | 339 | 2 0 -4 |
| 32.39 | 549 | 4 0 2 |
| 33.11 | 912 | 3 1 -1 |
| 34.07 | 1000 | 1 1 3 |
| 35.95 | 130 | 0 0 5 |
| 50.94 | 159 | 0 2 0 |
| 57.63 | 260 | 7 1 1 |
| 59.46 | 176 | 5 1 5 |
| 61.67 | 173 | 4 2 2 |

Crystal structure
abc: 12.8100 3.5857 12.5222
angles: 90.00 94.13 90.00
Space group C2/m (No. 12)
Inequivalent atoms, fractional coordinates:
1 Dy 0.2339 0.0000 0.2562 [4 per cell]
2 Tm 0.0335 0.0000 0.6882 [4 per cell]
3 Tm 0.1348 0.5000 0.4802 [4 per cell]
4 Tm 0.1459 0.0000 0.9449 [4 per cell]
5 Cd 0.0586 0.5000 0.1262 [4 per cell]

4.
The following is a calculated PXRD pattern of Na5Hg4Bi2. It was derived from a DFT-relaxed cell (PBE, Alexandria), using Cu Ka.
No peak broadening, texture or thermal motion is included.

Top 10 peaks for 2θ from 5° to 70°, sorted by position:
| 2θ (°) | I_rel | index |
| --- | --- | --- |
| 17.32 | 279 | 1 1 -1 |
| 21.57 | 1000 | 2 0 -2 |
| 23.29 | 879 | 2 0 1 |
| 27.30 | 874 | 0 2 0 |
| 31.75 | 612 | 0 0 3 |
| 32.16 | 376 | 4 0 -1 |
| 35.05 | 875 | 2 2 -2 |
| 35.45 | 464 | 3 1 -3 |
| 36.18 | 854 | 2 2 1 |
| 42.36 | 401 | 0 2 3 |

Crystal structure
abc: 11.1670 6.5339 9.1260
angles: 90.00 112.11 90.00
Space group C2/m (No. 12)
Inequivalent atoms, fractional coordinates:
1 Na 0.0000 0.0000 0.0000 [2 per cell]
2 Na 0.1505 0.2590 0.6784 [8 per cell]
3 Hg 0.1065 0.0000 0.3727 [4 per cell]
4 Hg 0.1956 0.5000 0.0013 [4 per cell]
5 Bi 0.0975 0.5000 0.3002 [4 per cell]

5.
The following is a calculated PXRD pattern of Hg2TeI. It was derived from a DFT-relaxed cell (PBE, Alexandria), using Cu Ka.
No peak broadening, texture or thermal motion is included.

Top 10 peaks for 2θ from 5° to 70°, sorted by position:
| 2θ (°) | I_rel | index |
| --- | --- | --- |
| 14.19 | 1000 | 0 1 1 |
| 16.76 | 596 | 1 1 0 |
| 26.15 | 515 | 0 1 3 |
| 27.66 | 726 | 2 1 1 |
| 27.88 | 846 | 1 2 1 |
| 28.32 | 807 | 2 0 2 |
| 31.10 | 547 | 0 0 4 |
| 33.89 | 953 | 2 2 0 |
| 35.70 | 440 | 1 2 3 |
| 39.42 | 625 | 2 0 4 |

Crystal structure
abc: 7.5337 7.4301 11.5033
angles: 90.00 90.00 90.00
Space group Ima2 (No. 46)
Inequivalent atoms, fractional coordinates:
1 Hg 0.0000 0.0000 0.0000 [4 per cell]
2 Hg 0.2500 0.1558 0.3106 [4 per cell]
3 Te 0.2500 0.2439 0.5625 [4 per cell]
4 I 0.2500 0.7000 0.3229 [4 per cell]

6.
The following is a calculated PXRD pattern of Tb6PrNd3. It was derived from a DFT-relaxed cell (PBE, Alexandria), using Cu Ka.
No peak broadening, texture or thermal motion is included.

Top 10 peaks for 2θ from 5° to 70°, sorted by position:
| 2θ (°) | I_rel | index |
| --- | --- | --- |
| 27.96 | 222 | 0 0 2 |
| 28.37 | 681 | 2 4 1 |
| 29.47 | 187 | 1 1 2 |
| 31.38 | 1000 | 0 6 1 |
| 32.38 | 292 | 4 0 0 |
| 33.76 | 645 | 2 2 2 |
| 49.55 | 151 | 6 0 0 |
| 49.69 | 160 | 2 4 3 |
| 55.34 | 110 | 6 4 1 |
| 58.75 | 110 | 2 10 2 |

Crystal structure
abc: 11.0493 19.0978 6.3916
angles: 90.00 90.00 90.00
Space group Cmc2_1 (No. 36)
Inequivalent atoms, fractional coordinates:
1 Tb 0.0000 0.0378 0.0000 [4 per cell]
2 Tb 0.0000 0.2744 0.2192 [4 per cell]
3 Tb 0.1675 0.4555 0.3206 [8 per cell]
4 Tb 0.2389 0.2906 0.4946 [8 per cell]
5 Pr 0.0000 0.1933 0.7428 [4 per cell]
6 Nd 0.0000 0.3877 0.7938 [4 per cell]
7 Nd 0.1771 0.1140 0.4043 [8 per cell]

7.
The following is a calculated PXRD pattern of La2ScTl3. It was derived from a DFT-relaxed cell (PBE, Alexandria), using Cu Ka.
No peak broadening, texture or thermal motion is included.

Top 10 peaks for 2θ from 5° to 70°, sorted by position:
| 2θ (°) | I_rel | index |
| --- | --- | --- |
| 23.59 | 115 | 1 0 0 |
| 27.89 | 132 | 1 0 2 |
| 32.53 | 1000 | 1 0 3 |
| 33.61 | 525 | 1 1 0 |
| 48.27 | 191 | 2 0 0 |
| 51.02 | 100 | 1 1 5 |
| 57.35 | 130 | 1 1 6 |
| 59.42 | 360 | 2 1 3 |
| 66.74 | 88 | 1 0 8 |
| 68.14 | 77 | 2 0 6 |

Crystal structure
abc: 3.7707 3.7707 12.0777
angles: 90.00 90.00 90.00
Space group P4/mmm (No. 123)
Inequivalent atoms, fractional coordinates:
1 La 0.0000 0.0000 0.1794 [2 per cell]
2 Sc 0.0000 0.0000 0.5000 [1 per cell]
3 Tl 0.5000 0.5000 0.0000 [1 per cell]
4 Tl 0.5000 0.5000 0.3606 [2 per cell]

8.
The following is a calculated PXRD pattern of Sc4TcIr. It was derived from a DFT-relaxed cell (PBE, Alexandria), using Cu Ka.
No peak broadening, texture or thermal motion is included.

Top 10 peaks for 2θ from 5° to 70°, sorted by position:
| 2θ (°) | I_rel | index |
| --- | --- | --- |
| 13.87 | 65 | 0 0 1 |
| 19.70 | 67 | 1 0 0 |
| 24.18 | 966 | 1 0 1 |
| 27.99 | 68 | 0 0 2 |
| 31.38 | 49 | 1 1 1 |
| 40.00 | 1000 | 2 0 0 |
| 47.28 | 480 | 2 1 1 |
| 57.77 | 54 | 0 0 4 |
| 57.89 | 108 | 2 2 0 |
| 63.61 | 197 | 3 0 1 |

Crystal structure
abc: 4.5057 4.5057 6.3834
angles: 90.00 90.00 90.00
Space group P4/mmm (No. 123)
Inequivalent atoms, fractional coordinates:
1 Sc 0.0000 0.5000 0.2465 [4 per cell]
2 Tc 0.0000 0.0000 0.0000 [1 per cell]
3 Ir 0.5000 0.5000 0.5000 [1 per cell]